Entry 1:
For OsAu3, DFT lattice parameters and positions (GGA-PBE) gives the simulated X-ray powder pattern in this record (Cu Ka).
Neutral-atom scattering factors, no anomalous dispersion.

Main lines, low angle first (10° ≤ 2θ ≤ 80°):
| 2θ/deg | d (Å) | intensity | h k l |
| --- | --- | --- | --- |
| 38.11 | 2.362 | 100 | 1 1 1 |
| 44.29 | 2.045 | 49 | 2 0 0 |
| 64.43 | 1.446 | 33 | 2 2 0 |
| 77.38 | 1.233 | 40 | 3 1 1 |

Atomic structure:
Lattice parameters (Å, degrees): 4.0904 4.0904 4.0904 90.00 90.00 90.00
Space group Pm-3m (No. 221)
Inequivalent atoms, fractional coordinates:
Os  0.0000  0.0000  0.0000 [1 per cell]
Au  0.0000  0.5000  0.5000 [3 per cell]

***

Entry 2:
For Sc2OsAu, DFT lattice parameters and positions (GGA-PBE) gives the simulated X-ray powder pattern in this record (Cu Ka).
Neutral-atom scattering factors, no anomalous dispersion.

Main lines, low angle first (10° ≤ 2θ ≤ 80°):
| 2θ/deg | d (Å) | intensity | h k l |
| --- | --- | --- | --- |
| 26.97 | 3.306 | 48 | 2 0 0 |
| 38.51 | 2.338 | 100 | 2 2 0 |
| 47.64 | 1.909 | 15 | 2 2 2 |
| 55.60 | 1.653 | 17 | 4 0 0 |
| 62.86 | 1.478 | 20 | 4 2 0 |
| 69.67 | 1.350 | 35 | 4 2 2 |

Atomic structure:
Lattice parameters (Å, degrees): 6.6119 6.6119 6.6119 90.00 90.00 90.00
Space group Fm-3m (No. 225)
Inequivalent atoms, fractional coordinates:
Sc  0.2500  0.2500  0.2500 [8 per cell]
Os  0.0000  0.0000  0.0000 [4 per cell]
Au  0.0000  0.0000  0.5000 [4 per cell]

***

Entry 3:
For PAu3, DFT lattice parameters and positions (GGA-PBE) gives the simulated X-ray powder pattern in this record (Cu Ka).
Neutral-atom scattering factors, no anomalous dispersion.

Main lines, low angle first (10° ≤ 2θ ≤ 80°):
| 2θ/deg | d (Å) | intensity | h k l |
| --- | --- | --- | --- |
| 25.83 | 3.450 | 24 | 1 0 1 |
| 29.98 | 2.981 | 10 | 1 1 0 |
| 34.75 | 2.581 | 24 | 2 0 0 |
| 38.84 | 2.319 | 24 | 0 0 2 |
| 39.97 | 2.255 | 100 | 2 0 1 |
| 53.09 | 1.725 | 15 | 2 0 2 |
| 62.30 | 1.490 | 18 | 2 2 0 |
| 71.09 | 1.326 | 19 | 2 0 3 |
| 75.89 | 1.254 | 21 | 2 2 2 |
| 76.63 | 1.243 | 15 | 4 0 1 |

Atomic structure:
Lattice parameters (Å, degrees): 5.9612 5.9612 4.6371 90.00 90.00 120.00
Space group P6_3/mmc (No. 194)
Inequivalent atoms, fractional coordinates:
P  0.3333  0.6667  0.2500 [2 per cell]
Au  0.1693  0.3387  0.7500 [6 per cell]

***

Entry 4:
For PAu3, DFT lattice parameters and positions (GGA-PBE) gives the simulated X-ray powder pattern in this record (Cu Ka).
Neutral-atom scattering factors, no anomalous dispersion.

Main lines, low angle first (10° ≤ 2θ ≤ 80°):
| 2θ/deg | d (Å) | intensity | h k l |
| --- | --- | --- | --- |
| 20.88 | 4.254 | 8 | 0 0 2 |
| 24.22 | 3.674 | 21 | 1 0 1 |
| 37.71 | 2.385 | 100 | 1 1 2 |
| 38.69 | 2.327 | 7 | 1 0 3 |
| 42.51 | 2.127 | 18 | 0 0 4 |
| 44.48 | 2.037 | 32 | 2 0 0 |
| 63.21 | 1.471 | 22 | 2 0 4 |
| 64.72 | 1.440 | 10 | 2 2 0 |
| 74.60 | 1.272 | 14 | 1 1 6 |
| 77.40 | 1.233 | 26 | 3 1 2 |

Atomic structure:
Lattice parameters (Å, degrees): 4.0739 4.0739 8.5071 90.00 90.00 90.00
Space group I4/mmm (No. 139)
Inequivalent atoms, fractional coordinates:
P  0.0000  0.0000  0.0000 [2 per cell]
Au  0.0000  0.0000  0.5000 [2 per cell]
Au  0.0000  0.5000  0.2500 [4 per cell]

***

Entry 5:
For Pr2P3Au, DFT lattice parameters and positions (GGA-PBE) gives the simulated X-ray powder pattern in this record (Cu Ka).
Neutral-atom scattering factors, no anomalous dispersion.

Main lines, low angle first (10° ≤ 2θ ≤ 80°):
| 2θ/deg | d (Å) | intensity | h k l |
| --- | --- | --- | --- |
| 12.59 | 7.033 | 49 | 1 0 1 |
| 24.60 | 3.619 | 46 | 1 0 4 |
| 25.33 | 3.517 | 51 | 2 0 2 |
| 26.38 | 3.379 | 88 | 1 1 2 |
| 29.12 | 3.067 | 80 | 1 1 3 |
| 31.73 | 2.820 | 86 | 2 0 4 |
| 32.59 | 2.747 | 100 | 1 1 4 |
| 34.70 | 2.585 | 59 | 0 1 5 |
| 42.87 | 2.110 | 54 | 0 2 0 |
| 60.32 | 1.534 | 50 | 2 1 9 |

Atomic structure:
Lattice parameters (Å, degrees): 7.7906 4.2191 16.3540 90.00 90.00 90.00
Space group Pnma (No. 62)
Inequivalent atoms, fractional coordinates:
Pr  0.1004  0.2500  0.2028 [4 per cell]
Pr  0.2324  0.2500  0.4757 [4 per cell]
P  0.0336  0.2500  0.9064 [4 per cell]
P  0.1174  0.7500  0.5875 [4 per cell]
P  0.2028  0.2500  0.7985 [4 per cell]
Au  0.0113  0.2500  0.6507 [4 per cell]

***

Entry 6:
For PAuS4, DFT lattice parameters and positions (GGA-PBE) gives the simulated X-ray powder pattern in this record (Cu Ka).
Neutral-atom scattering factors, no anomalous dispersion.

Main lines, low angle first (10° ≤ 2θ ≤ 80°):
| 2θ/deg | d (Å) | intensity | h k l |
| --- | --- | --- | --- |
| 15.20 | 5.828 | 10 | 0 1 1 |
| 16.86 | 5.260 | 100 | 1 1 0 |
| 18.23 | 4.866 | 7 | 1 0 -1 |
| 20.47 | 4.339 | 7 | 1 -1 0 |
| 20.74 | 4.284 | 6 | 0 0 2 |
| 24.62 | 3.616 | 5 | 0 2 0 |
| 24.87 | 3.580 | 5 | 1 1 2 |
| 26.62 | 3.349 | 5 | 1 2 1 |
| 29.40 | 3.038 | 12 | 1 -1 2 |
| 45.58 | 1.990 | 8 | 1 -2 3 |

Atomic structure:
Lattice parameters (Å, degrees): 6.4058 7.4217 8.6591 83.08 84.05 78.42
Space group P-1 (No. 2)
Inequivalent atoms, fractional coordinates:
P  0.2345  0.2495  0.2454 [2 per cell]
Au  0.0000  0.5000  0.5000 [1 per cell]
Au  0.5000  0.0000  0.0000 [1 per cell]
S  0.0620  0.7414  0.6368 [2 per cell]
S  0.2370  0.2760  0.0062 [2 per cell]
S  0.3240  0.4643  0.3359 [2 per cell]
S  0.4415  0.9993  0.2757 [2 per cell]

***

Entry 7:
For TlPAuSe3, DFT lattice parameters and positions (GGA-PBE) gives the simulated X-ray powder pattern in this record (Cu Ka).
Neutral-atom scattering factors, no anomalous dispersion.

Main lines, low angle first (10° ≤ 2θ ≤ 80°):
| 2θ/deg | d (Å) | intensity | h k l |
| --- | --- | --- | --- |
| 12.09 | 7.322 | 32 | 0 0 1 |
| 21.48 | 4.137 | 31 | 2 0 -2 |
| 28.47 | 3.135 | 67 | 2 2 -1 |
| 28.93 | 3.086 | 51 | 4 0 -1 |
| 29.39 | 3.039 | 100 | 2 2 0 |
| 31.85 | 2.810 | 41 | 2 0 -3 |
| 33.11 | 2.705 | 22 | 4 0 0 |
| 34.59 | 2.593 | 30 | 0 2 2 |
| 44.58 | 2.033 | 27 | 0 2 3 |
| 52.12 | 1.755 | 29 | 6 2 -1 |

Atomic structure:
Lattice parameters (Å, degrees): 12.4782 7.3477 8.4425 90.00 119.86 90.00
Space group C2/m (No. 12)
Inequivalent atoms, fractional coordinates:
Tl  0.2150  0.0000  0.2699 [4 per cell]
P  0.0318  0.5000  0.1529 [4 per cell]
Au  0.0000  0.2617  0.5000 [4 per cell]
Se  0.0622  0.2469  0.8250 [8 per cell]
Se  0.2327  0.5000  0.3110 [4 per cell]

***

Entry 8:
For SiPAu, DFT lattice parameters and positions (GGA-PBE) gives the simulated X-ray powder pattern in this record (Cu Ka).
Neutral-atom scattering factors, no anomalous dispersion.

Main lines, low angle first (10° ≤ 2θ ≤ 80°):
| 2θ/deg | d (Å) | intensity | h k l |
| --- | --- | --- | --- |
| 15.29 | 5.795 | 55 | 0 0 3 |
| 29.76 | 3.002 | 100 | 1 0 1 |
| 30.86 | 2.898 | 27 | 0 0 6 |
| 31.10 | 2.876 | 57 | 0 1 2 |
| 35.99 | 2.495 | 22 | 1 0 4 |
| 39.31 | 2.292 | 26 | 0 1 5 |
| 47.21 | 1.925 | 32 | 1 0 7 |
| 51.66 | 1.769 | 23 | 0 1 8 |
| 51.97 | 1.759 | 25 | 1 1 0 |
| 61.68 | 1.504 | 23 | 1 1 6 |

Atomic structure:
Lattice parameters (Å, degrees): 3.5188 3.5188 17.3858 90.00 90.00 120.00
Space group R3m (No. 160, hexagonal axes)
Inequivalent atoms, fractional coordinates:
Si  0.0000  0.0000  0.0000 [3 per cell]
P  0.0000  0.0000  0.7266 [3 per cell]
Au  0.0000  0.0000  0.8645 [3 per cell]

***

Entry 9:
For SrPAu, DFT lattice parameters and positions (GGA-PBE) gives the simulated X-ray powder pattern in this record (Cu Ka).
Neutral-atom scattering factors, no anomalous dispersion.

Main lines, low angle first (10° ≤ 2θ ≤ 80°):
| 2θ/deg | d (Å) | intensity | h k l |
| --- | --- | --- | --- |
| 20.78 | 4.275 | 22 | 0 0 2 |
| 25.67 | 3.471 | 83 | 1 0 1 |
| 31.51 | 2.839 | 100 | 1 0 2 |
| 39.53 | 2.280 | 28 | 1 0 3 |
| 41.17 | 2.193 | 59 | 1 1 0 |
| 42.28 | 2.138 | 18 | 0 0 4 |
| 46.55 | 1.951 | 16 | 1 1 2 |
| 52.75 | 1.735 | 23 | 2 0 2 |
| 60.49 | 1.531 | 38 | 1 1 4 |
| 69.02 | 1.361 | 21 | 2 1 2 |

Atomic structure:
Lattice parameters (Å, degrees): 4.3852 4.3852 8.5508 90.00 90.00 120.00
Space group P6_3/mmc (No. 194)
Inequivalent atoms, fractional coordinates:
Sr  0.0000  0.0000  0.0000 [2 per cell]
P  0.3333  0.6667  0.2500 [2 per cell]
Au  0.3333  0.6667  0.7500 [2 per cell]

***

Entry 10:
For PaPbAu2, DFT lattice parameters and positions (GGA-PBE) gives the simulated X-ray powder pattern in this record (Cu Ka).
Neutral-atom scattering factors, no anomalous dispersion.

Main lines, low angle first (10° ≤ 2θ ≤ 80°):
| 2θ/deg | d (Å) | intensity | h k l |
| --- | --- | --- | --- |
| 35.36 | 2.538 | 100 | 2 2 0 |
| 50.87 | 1.795 | 18 | 4 0 0 |
| 63.47 | 1.466 | 38 | 4 2 2 |
| 74.80 | 1.269 | 12 | 4 4 0 |

Atomic structure:
Lattice parameters (Å, degrees): 7.1799 7.1799 7.1799 90.00 90.00 90.00
Space group Fm-3m (No. 225)
Inequivalent atoms, fractional coordinates:
Pa  0.0000  0.0000  0.0000 [4 per cell]
Pb  0.0000  0.0000  0.5000 [4 per cell]
Au  0.2500  0.2500  0.2500 [8 per cell]

***

Entry 11:
For PaSnAu2, DFT lattice parameters and positions (GGA-PBE) gives the simulated X-ray powder pattern in this record (Cu Ka).
Neutral-atom scattering factors, no anomalous dispersion.

Main lines, low angle first (10° ≤ 2θ ≤ 80°):
| 2θ/deg | d (Å) | intensity | h k l |
| --- | --- | --- | --- |
| 21.71 | 4.093 | 4 | 1 1 1 |
| 25.12 | 3.545 | 1 | 2 0 0 |
| 35.82 | 2.507 | 100 | 2 2 0 |
| 42.28 | 2.138 | 2 | 3 1 1 |
| 51.56 | 1.772 | 18 | 4 0 0 |
| 56.58 | 1.627 | 1 | 3 3 1 |
| 64.37 | 1.447 | 38 | 4 2 2 |
| 68.80 | 1.364 | 1 | 5 1 1 |
| 75.92 | 1.253 | 12 | 4 4 0 |

Atomic structure:
Lattice parameters (Å, degrees): 7.0900 7.0900 7.0900 90.00 90.00 90.00
Space group Fm-3m (No. 225)
Inequivalent atoms, fractional coordinates:
Pa  0.0000  0.0000  0.0000 [4 per cell]
Sn  0.0000  0.0000  0.5000 [4 per cell]
Au  0.2500  0.2500  0.2500 [8 per cell]

***

Entry 12:
For Pb2Au, DFT lattice parameters and positions (GGA-PBE) gives the simulated X-ray powder pattern in this record (Cu Ka).
Neutral-atom scattering factors, no anomalous dispersion.

Main lines, low angle first (10° ≤ 2θ ≤ 80°):
| 2θ/deg | d (Å) | intensity | h k l |
| --- | --- | --- | --- |
| 30.94 | 2.891 | 100 | 2 1 1 |
| 34.28 | 2.616 | 14 | 2 2 0 |
| 34.73 | 2.583 | 38 | 1 1 2 |
| 38.48 | 2.340 | 50 | 3 1 0 |
| 38.88 | 2.316 | 38 | 2 0 2 |
| 53.33 | 1.718 | 16 | 4 1 1 |
| 53.96 | 1.699 | 22 | 2 1 3 |
| 58.81 | 1.570 | 18 | 4 0 2 |
| 61.68 | 1.504 | 27 | 3 3 2 |
| 75.87 | 1.254 | 14 | 3 1 4 |

Atomic structure:
Lattice parameters (Å, degrees): 7.3983 7.3983 5.9414 90.00 90.00 90.00
Space group I4/mcm (No. 140)
Inequivalent atoms, fractional coordinates:
Pb  0.1594  0.3406  0.0000 [8 per cell]
Au  0.0000  0.0000  0.2500 [4 per cell]

***

Entry 13:
For PrPbAu, DFT lattice parameters and positions (GGA-PBE) gives the simulated X-ray powder pattern in this record (Cu Ka).
Neutral-atom scattering factors, no anomalous dispersion.

Main lines, low angle first (10° ≤ 2θ ≤ 80°):
| 2θ/deg | d (Å) | intensity | h k l |
| --- | --- | --- | --- |
| 22.82 | 3.897 | 20 | 0 0 2 |
| 31.14 | 2.872 | 100 | 1 0 2 |
| 36.62 | 2.454 | 82 | 1 1 0 |
| 43.59 | 2.076 | 24 | 1 1 2 |
| 46.61 | 1.948 | 14 | 0 0 4 |
| 48.81 | 1.866 | 29 | 2 0 2 |
| 60.69 | 1.526 | 39 | 1 1 4 |
| 62.54 | 1.485 | 28 | 2 1 2 |
| 65.94 | 1.417 | 15 | 3 0 0 |
| 77.86 | 1.227 | 10 | 2 2 0 |

Atomic structure:
Lattice parameters (Å, degrees): 4.9074 4.9074 7.7938 90.00 90.00 120.00
Space group P6_3/mmc (No. 194)
Inequivalent atoms, fractional coordinates:
Pr  0.0000  0.0000  0.0000 [2 per cell]
Pb  0.3333  0.6667  0.2500 [2 per cell]
Au  0.3333  0.6667  0.7500 [2 per cell]

***

Entry 14:
For SmPbAu2, DFT lattice parameters and positions (GGA-PBE) gives the simulated X-ray powder pattern in this record (Cu Ka).
Neutral-atom scattering factors, no anomalous dispersion.

Main lines, low angle first (10° ≤ 2θ ≤ 80°):
| 2θ/deg | d (Å) | intensity | h k l |
| --- | --- | --- | --- |
| 21.28 | 4.175 | 1 | 1 1 1 |
| 35.10 | 2.556 | 100 | 2 2 0 |
| 41.42 | 2.180 | 1 | 3 1 1 |
| 50.49 | 1.808 | 18 | 4 0 0 |
| 62.97 | 1.476 | 38 | 4 2 2 |
| 74.19 | 1.278 | 12 | 4 4 0 |

Atomic structure:
Lattice parameters (Å, degrees): 7.2308 7.2308 7.2308 90.00 90.00 90.00
Space group Fm-3m (No. 225)
Inequivalent atoms, fractional coordinates:
Sm  0.0000  0.0000  0.0000 [4 per cell]
Pb  0.0000  0.0000  0.5000 [4 per cell]
Au  0.2500  0.2500  0.2500 [8 per cell]

***

Entry 15:
For ThPbAu2, DFT lattice parameters and positions (GGA-PBE) gives the simulated X-ray powder pattern in this record (Cu Ka).
Neutral-atom scattering factors, no anomalous dispersion.

Main lines, low angle first (10° ≤ 2θ ≤ 80°):
| 2θ/deg | d (Å) | intensity | h k l |
| --- | --- | --- | --- |
| 34.75 | 2.581 | 100 | 2 2 0 |
| 49.97 | 1.825 | 18 | 4 0 0 |
| 62.30 | 1.490 | 38 | 4 2 2 |
| 73.36 | 1.291 | 12 | 4 4 0 |

Atomic structure:
Lattice parameters (Å, degrees): 7.3009 7.3009 7.3009 90.00 90.00 90.00
Space group Fm-3m (No. 225)
Inequivalent atoms, fractional coordinates:
Th  0.0000  0.0000  0.0000 [4 per cell]
Pb  0.0000  0.0000  0.5000 [4 per cell]
Au  0.2500  0.2500  0.2500 [8 per cell]